1.
# Sc5Ir15C4
Simulated XRD peak list, Cu Ka. Input: the PBE geometry in the Materials Project.
Kinematic intensities with the Lorentz-polarization factor, no thermal factor.

Crystal structure
```
data_Sc5Ir15C4
_chemical_formula_sum 'Sc5 Ir15 C4'
_space_group_name_H-M_alt 'P 1'
_space_group_IT_number 1
_space_group_name_Hall 'P 1'
_cell_length_a 4.0839
_cell_length_b 4.0839
_cell_length_c 20.6484
_cell_angle_alpha 90.00
_cell_angle_beta 90.00
_cell_angle_gamma 90.00
loop_
_atom_site_label
_atom_site_type_symbol
_atom_site_fract_x
_atom_site_fract_y
_atom_site_fract_z
Sc1 Sc 0.0000 0.0000 0.0000
Sc2 Sc 0.0000 0.0000 0.2017
Sc3 Sc 0.0000 0.0000 0.4081
Sc4 Sc 0.0000 0.0000 0.5919
Sc5 Sc 0.0000 0.0000 0.7983
Ir1 Ir 0.0000 0.5000 0.0985
Ir2 Ir 0.0000 0.5000 0.2979
Ir3 Ir 0.0000 0.5000 0.5000
Ir4 Ir 0.0000 0.5000 0.7021
Ir5 Ir 0.0000 0.5000 0.9015
Ir6 Ir 0.5000 0.0000 0.0985
Ir7 Ir 0.5000 0.0000 0.2979
Ir8 Ir 0.5000 0.0000 0.5000
Ir9 Ir 0.5000 0.0000 0.7021
Ir10 Ir 0.5000 0.0000 0.9015
Ir11 Ir 0.5000 0.5000 0.0000
Ir12 Ir 0.5000 0.5000 0.2014
Ir13 Ir 0.5000 0.5000 0.4111
Ir14 Ir 0.5000 0.5000 0.5889
Ir15 Ir 0.5000 0.5000 0.7986
C1 C 0.5000 0.5000 0.1042
C2 C 0.5000 0.5000 0.3173
C3 C 0.5000 0.5000 0.6827
C4 C 0.5000 0.5000 0.8958
```

Main lines, sorted by position (10° ≤ 2θ ≤ 90°):
21.76°, 4.084 Å, intensity 13
38.02°, 2.367 Å, intensity 100
43.85°, 2.065 Å, intensity 17
44.36°, 2.042 Å, intensity 35
64.14°, 1.452 Å, intensity 21
64.54°, 1.444 Å, intensity 11
76.69°, 1.243 Å, intensity 11
77.43°, 1.233 Å, intensity 26


2.
# U2IrC2
Simulated XRD peak list, Cu Ka. Input: the PBE geometry in the Materials Project.
Kinematic intensities with the Lorentz-polarization factor, no thermal factor.

Crystal structure
```
data_U2IrC2
_chemical_formula_sum 'U2 Ir1 C2'
_space_group_name_H-M_alt 'P 1'
_space_group_IT_number 1
_space_group_name_Hall 'P 1'
_cell_length_a 6.7117
_cell_length_b 6.7117
_cell_length_c 6.7117
_cell_angle_alpha 149.97
_cell_angle_beta 149.97
_cell_angle_gamma 42.98
loop_
_atom_site_label
_atom_site_type_symbol
_atom_site_fract_x
_atom_site_fract_y
_atom_site_fract_z
U1 U 0.1460 0.1460 0.0000
U2 U 0.8540 0.8540 0.0000
Ir1 Ir 0.5000 0.5000 0.0000
C1 C 0.3296 0.3296 0.0000
C2 C 0.6704 0.6704 0.0000
```

Main lines, sorted by position (10° ≤ 2θ ≤ 90°):
33.58°, 2.669 Å, intensity 100
36.54°, 2.459 Å, intensity 51
43.47°, 2.082 Å, intensity 10
52.64°, 1.739 Å, intensity 18
58.07°, 1.589 Å, intensity 22
63.90°, 1.457 Å, intensity 33
70.58°, 1.334 Å, intensity 10
89.03°, 1.100 Å, intensity 9


3.
# KC
Simulated XRD peak list, Cu Ka. Input: the PBE geometry in the Materials Project.
Kinematic intensities with the Lorentz-polarization factor, no thermal factor.

Crystal structure
```
data_KC
_chemical_formula_sum 'K8 C8'
_space_group_name_H-M_alt 'P 1'
_space_group_IT_number 1
_space_group_name_Hall 'P 1'
_cell_length_a 9.1165
_cell_length_b 9.1165
_cell_length_c 9.1165
_cell_angle_alpha 130.28
_cell_angle_beta 130.28
_cell_angle_gamma 72.96
loop_
_atom_site_label
_atom_site_type_symbol
_atom_site_fract_x
_atom_site_fract_y
_atom_site_fract_z
K1 K 0.0582 0.2500 0.3082
K2 K 0.2500 0.4418 0.1918
K3 K 0.2500 0.9418 0.6918
K4 K 0.4418 0.7500 0.1918
K5 K 0.5582 0.2500 0.8082
K6 K 0.7500 0.0582 0.3082
K7 K 0.7500 0.5582 0.8082
K8 K 0.9418 0.7500 0.6918
C1 C 0.0665 0.4335 0.7500
C2 C 0.1835 0.3165 0.7500
C3 C 0.3165 0.0665 0.1330
C4 C 0.4335 0.1835 0.3670
C5 C 0.5665 0.8165 0.6330
C6 C 0.6835 0.9335 0.8670
C7 C 0.8165 0.6835 0.2500
C8 C 0.9335 0.5665 0.2500
```

Main lines, sorted by position (10° ≤ 2θ ≤ 90°):
20.38°, 4.358 Å, intensity 23
23.21°, 3.833 Å, intensity 54
24.29°, 3.665 Å, intensity 28
26.71°, 3.338 Å, intensity 28
31.89°, 2.806 Å, intensity 30
33.05°, 2.710 Å, intensity 37
33.84°, 2.649 Å, intensity 100
41.44°, 2.179 Å, intensity 17


4.
# K4C
Simulated XRD peak list, Cu Ka. Input: the PBE geometry in the Materials Project.
Kinematic intensities with the Lorentz-polarization factor, no thermal factor.

Crystal structure
```
data_K4C
_chemical_formula_sum 'K4 C1'
_space_group_name_H-M_alt 'P 1'
_space_group_IT_number 1
_space_group_name_Hall 'P 1'
_cell_length_a 7.7827
_cell_length_b 7.7827
_cell_length_c 7.7827
_cell_angle_alpha 93.97
_cell_angle_beta 93.97
_cell_angle_gamma 149.48
loop_
_atom_site_label
_atom_site_type_symbol
_atom_site_fract_x
_atom_site_fract_y
_atom_site_fract_z
K1 K 0.0000 0.2315 0.2315
K2 K 0.0000 0.7685 0.7685
K3 K 0.2315 0.0000 0.2315
K4 K 0.7685 0.0000 0.7685
C1 C 0.5000 0.5000 0.0000
```

Main lines, sorted by position (10° ≤ 2θ ≤ 90°):
11.79°, 7.508 Å, intensity 25
23.27°, 3.823 Å, intensity 61
23.70°, 3.754 Å, intensity 100
28.78°, 3.102 Å, intensity 73
33.77°, 2.655 Å, intensity 47
37.61°, 2.391 Å, intensity 69
41.41°, 2.180 Å, intensity 19
50.77°, 1.798 Å, intensity 21